Simulated PXRD pattern of SrLiSi2Pt2 for Cu Kα, from a cell relaxed with PBE.
No peak broadening, texture or thermal motion is included.

```
data_SrLiSi2Pt2
_chemical_formula_sum 'Sr1 Li1 Si2 Pt2'
_cell_length_a 4.2282
_cell_length_b 4.2282
_cell_length_c 7.2359
_cell_angle_alpha 90.00
_cell_angle_beta 90.00
_cell_angle_gamma 120.00
_space_group_name_H-M_alt 'P -3 m 1'
_space_group_IT_number 164
_space_group_name_Hall '-P 3 2"'
loop_
_atom_site_label
_atom_site_type_symbol
_atom_site_fract_x
_atom_site_fract_y
_atom_site_fract_z
Sr1 Sr 0.0000 0.0000 0.0000
Li1 Li 0.0000 0.0000 0.5000
Si1 Si 0.3333 0.6667 0.3233
Pt1 Pt 0.3333 0.6667 0.6744
```

Most intense lines, 2θ from 5° to 70°, in order of falling intensity:
hkl 1 0 1, 2θ = 27.30°, d 3.267, I = 100; hkl 0 1 2, 2θ = 34.86°, d 2.574, I = 57; hkl 1 1 0, 2θ = 42.77°, d 2.114, I = 45; hkl 1 1 3, 2θ = 58.01°, d 1.590, I = 35; hkl 0 0 3, 2θ = 37.28°, d 2.412, I = 21; hkl 0 2 1, 2θ = 51.49°, d 1.775, I = 18; hkl 0 0 1, 2θ = 12.23°, d 7.236, I = 16; hkl 2 1 1, 2θ = 69.10°, d 1.359, I = 15; hkl 2 0 2, 2θ = 56.32°, d 1.634, I = 15; hkl 1 0 4, 2θ = 56.76°, d 1.622, I = 14; hkl 1 0 0, 2θ = 24.31°, d 3.662, I = 11; hkl 0 1 5, 2θ = 69.89°, d 1.346, I = 7

Simulated PXRD pattern of SrLiSiPt for Cu Kα, from a cell relaxed with PBE.
No peak broadening, texture or thermal motion is included.

```
data_SrLiSiPt
_chemical_formula_sum 'Sr3 Li3 Si3 Pt3'
_cell_length_a 4.2829
_cell_length_b 4.2829
_cell_length_c 16.1857
_cell_angle_alpha 90.00
_cell_angle_beta 90.00
_cell_angle_gamma 120.00
_space_group_name_H-M_alt 'R 3 m'
_space_group_IT_number 160
_space_group_name_Hall 'R 3 -2"'
loop_
_atom_site_label
_atom_site_type_symbol
_atom_site_fract_x
_atom_site_fract_y
_atom_site_fract_z
Sr1 Sr 0.0000 0.0000 0.0000
Li1 Li 0.0000 0.0000 0.8104
Si1 Si 0.0000 0.0000 0.5246
Pt1 Pt 0.0000 0.0000 0.1973
```

Most intense lines, 2θ from 5° to 70°, in order of falling intensity:
hkl 1 0 1, 2θ = 24.62°, d 3.615, I = 100; hkl 1 0 4, 2θ = 32.75°, d 2.734, I = 57; hkl 0 1 5, 2θ = 36.85°, d 2.439, I = 56; hkl 1 1 0, 2θ = 42.20°, d 2.141, I = 53; hkl 0 0 3, 2θ = 16.43°, d 5.395, I = 47; hkl 1 1 6, 2θ = 54.73°, d 1.677, I = 37; hkl 0 1 2, 2θ = 26.43°, d 3.372, I = 31; hkl 0 0 6, 2θ = 33.21°, d 2.698, I = 25; hkl 1 1 3, 2θ = 45.58°, d 1.990, I = 21; hkl 2 0 5, 2θ = 57.25°, d 1.609, I = 16; hkl 0 2 1, 2θ = 49.47°, d 1.843, I = 16; hkl 1 1 9, 2θ = 68.08°, d 1.377, I = 15

Simulated PXRD pattern of LiTbSiPt2 for Cu Kα, from a cell relaxed with PBE.
No peak broadening, texture or thermal motion is included.

```
data_LiTbSiPt2
_chemical_formula_sum 'Li2 Tb2 Si2 Pt4'
_cell_length_a 3.9078
_cell_length_b 3.9078
_cell_length_c 11.5131
_cell_angle_alpha 90.00
_cell_angle_beta 90.00
_cell_angle_gamma 90.00
_space_group_name_H-M_alt 'I -4 m 2'
_space_group_IT_number 119
_space_group_name_Hall 'I -4 -2'
loop_
_atom_site_label
_atom_site_type_symbol
_atom_site_fract_x
_atom_site_fract_y
_atom_site_fract_z
Li1 Li 0.0000 0.0000 0.0000
Tb1 Tb 0.0000 0.5000 0.7500
Si1 Si 0.0000 0.0000 0.5000
Pt1 Pt 0.0000 0.5000 0.1311
```

Most intense lines, 2θ from 5° to 70°, in order of falling intensity:
hkl 1 0 3, 2θ = 32.71°, d 2.738, I = 100; hkl 1 1 0, 2θ = 32.40°, d 2.763, I = 84; hkl 1 0 5, 2θ = 45.73°, d 1.984, I = 58; hkl 2 0 0, 2θ = 46.48°, d 1.954, I = 40; hkl 2 1 3, 2θ = 57.99°, d 1.590, I = 40; hkl 2 1 5, 2θ = 67.25°, d 1.392, I = 37; hkl 1 1 2, 2θ = 36.05°, d 2.491, I = 24; hkl 0 0 2, 2θ = 15.39°, d 5.757, I = 22; hkl 1 0 1, 2θ = 24.05°, d 3.700, I = 22; hkl 1 1 4, 2θ = 45.50°, d 1.993, I = 17; hkl 2 2 0, 2θ = 67.83°, d 1.382, I = 13; hkl 0 0 8, 2θ = 64.78°, d 1.439, I = 7